(1)
Diffraction record for Rb2Tm2AlS6. The PXRD pattern is computed, not measured: it uses a structure optimized by DFT (GGA-PBE) and Cu Kα (λ = 1.5418 Å).
Intensities are scaled so that the largest is 100.

Structural model:
a b c (Å): 6.6088 6.6088 8.2263
angles (deg): 98.21 98.21 119.41
Atoms (fractional coordinates):
Rb: 0.1719 0.8281 0.0000
Rb: 0.8281 0.1719 0.0000
Tm: 0.3330 0.6670 0.5000
Tm: 0.6670 0.3330 0.5000
Al: 0.0000 0.0000 0.5000
S: 0.0647 0.3735 0.6809
S: 0.2422 0.2422 0.3228
S: 0.3735 0.0647 0.6809
S: 0.6265 0.9353 0.3191
S: 0.7578 0.7578 0.6772
S: 0.9353 0.6265 0.3191

Main lines, in order of rising 2θ (10° ≤ 2θ ≤ 80°):
11.2 deg, 7.889 Å, intensity 88.3
15.5 deg, 5.706 Å, intensity 25.0
17.0 deg, 5.201 Å, intensity 36.0
21.7 deg, 4.102 Å, intensity 24.2
22.5 deg, 3.945 Å, intensity 36.6
28.0 deg, 3.191 Å, intensity 47.2
30.6 deg, 2.921 Å, intensity 50.4
31.1 deg, 2.877 Å, intensity 100.0
40.8 deg, 2.212 Å, intensity 34.6
47.4 deg, 1.919 Å, intensity 49.3

(2)
Diffraction record for Y3Al8Cu3. The PXRD pattern is computed, not measured: it uses a structure optimized by DFT (GGA-PBE) and Cu Kα (λ = 1.5418 Å).
Intensities are scaled so that the largest is 100.

Structural model:
a b c (Å): 8.1083 8.1083 8.1083
angles (deg): 149.30 105.74 82.46
Atoms (fractional coordinates):
Y: 0.0000 0.0000 0.0000
Y: 0.3080 0.3080 0.0000
Y: 0.6920 0.6920 0.0000
Al: 0.0233 0.6591 0.3642
Al: 0.1679 0.8794 0.2885
Al: 0.2948 0.6591 0.6358
Al: 0.4092 0.1206 0.2885
Al: 0.5908 0.8794 0.7115
Al: 0.7052 0.3409 0.3642
Al: 0.8321 0.1206 0.7115
Al: 0.9767 0.3409 0.6358
Cu: 0.2951 0.5000 0.7951
Cu: 0.5000 0.0000 0.5000
Cu: 0.7049 0.5000 0.2049

Main lines, in order of rising 2θ (10° ≤ 2θ ≤ 80°):
14.5 deg, 6.098 Å, intensity 13.7
22.6 deg, 3.932 Å, intensity 14.1
28.6 deg, 3.120 Å, intensity 17.2
30.3 deg, 2.952 Å, intensity 15.8
34.5 deg, 2.598 Å, intensity 15.5
35.3 deg, 2.545 Å, intensity 23.4
35.5 deg, 2.528 Å, intensity 100.0
37.6 deg, 2.390 Å, intensity 22.9
42.1 deg, 2.147 Å, intensity 31.5
44.6 deg, 2.033 Å, intensity 13.1